[1]
Structure and theoretical X-ray diffraction stick pattern of FeBiO3 (a crystal structure in the Materials Project, relaxed with GGA+U; Cu Kα).
Intensities are scaled so that the largest is 100.

Cell and atoms:
```
data_FeBiO3
_cell_length_a 5.7047
_cell_length_b 5.7047
_cell_length_c 5.7047
_cell_angle_alpha 58.97
_cell_angle_beta 58.97
_cell_angle_gamma 58.97
_space_group_name_H-M_alt 'P 1'
_space_group_IT_number 1
_space_group_name_Hall 'P 1'
loop_
_atom_site_label
_atom_site_type_symbol
_atom_site_fract_x
_atom_site_fract_y
_atom_site_fract_z
Fe1 Fe 0.0000 0.0000 0.0000
Fe2 Fe 0.5000 0.5000 0.5000
Bi1 Bi 0.2204 0.2204 0.2204
Bi2 Bi 0.7204 0.7204 0.7204
O1 O 0.1838 0.7830 0.3309
O2 O 0.2830 0.6838 0.8309
O3 O 0.3309 0.1838 0.7830
O4 O 0.6838 0.8309 0.2830
O5 O 0.7830 0.3309 0.1838
O6 O 0.8309 0.2830 0.6838
```

Principal peaks in the range 2θ from 15° to 90°, low angle first:
| d (Å) | I/Imax |
| --- | --- |
| 4.001 | 80 |
| 2.852 | 100 |
| 2.808 | 98 |
| 2.001 | 46 |
| 1.801 | 35 |
| 1.629 | 42 |

***

[2]
Structure and theoretical X-ray diffraction stick pattern of Ba2YCr3O7 (a crystal structure in the Materials Project, relaxed with GGA+U; Cu Kα).
Intensities are scaled so that the largest is 100.

Cell and atoms:
```
data_Ba2YCr3O7
_cell_length_a 3.9348
_cell_length_b 4.0318
_cell_length_c 11.6318
_cell_angle_alpha 90.00
_cell_angle_beta 90.00
_cell_angle_gamma 90.00
_space_group_name_H-M_alt 'P 1'
_space_group_IT_number 1
_space_group_name_Hall 'P 1'
loop_
_atom_site_label
_atom_site_type_symbol
_atom_site_fract_x
_atom_site_fract_y
_atom_site_fract_z
Ba1 Ba 0.0000 0.0000 0.1814
Ba2 Ba 0.0000 0.0000 0.8186
Y1 Y 0.0000 0.0000 0.5000
Cr1 Cr 0.5000 0.5000 0.0000
Cr2 Cr 0.5000 0.5000 0.3529
Cr3 Cr 0.5000 0.5000 0.6471
O1 O 0.0000 0.5000 0.3778
O2 O 0.0000 0.5000 0.6222
O3 O 0.5000 0.0000 0.0000
O4 O 0.5000 0.0000 0.3766
O5 O 0.5000 0.0000 0.6234
O6 O 0.5000 0.5000 0.1769
O7 O 0.5000 0.5000 0.8231
```

Principal peaks in the range 2θ from 15° to 90°, low angle first:
| d (Å) | I/Imax |
| --- | --- |
| 2.816 | 98 |
| 2.795 | 89 |
| 2.762 | 100 |
| 2.278 | 39 |
| 1.628 | 39 |
| 1.597 | 33 |

***

[3]
Structure and theoretical X-ray diffraction stick pattern of Li2VCrO4 (a crystal structure in the Materials Project, relaxed with GGA+U; Cu Kα).
Intensities are scaled so that the largest is 100.

Cell and atoms:
```
data_Li2VCrO4
_cell_length_a 9.9019
_cell_length_b 9.9019
_cell_length_c 5.2236
_cell_angle_alpha 95.56
_cell_angle_beta 95.56
_cell_angle_gamma 17.25
_space_group_name_H-M_alt 'P 1'
_space_group_IT_number 1
_space_group_name_Hall 'P 1'
loop_
_atom_site_label
_atom_site_type_symbol
_atom_site_fract_x
_atom_site_fract_y
_atom_site_fract_z
Li1 Li 0.0000 0.0000 0.0000
Li2 Li 0.2505 0.2505 0.7464
Li3 Li 0.5000 0.5000 0.5000
Li4 Li 0.7495 0.7495 0.2536
V1 V 0.3749 0.3749 0.1250
V2 V 0.6251 0.6251 0.8750
Cr1 Cr 0.1248 0.1248 0.3749
Cr2 Cr 0.8752 0.8752 0.6251
O1 O 0.0685 0.0685 0.6873
O2 O 0.1817 0.1817 0.0634
O3 O 0.3184 0.3184 0.4438
O4 O 0.4318 0.4318 0.8068
O5 O 0.5682 0.5682 0.1932
O6 O 0.6816 0.6816 0.5562
O7 O 0.8183 0.8183 0.9366
O8 O 0.9315 0.9315 0.3127
```

Principal peaks in the range 2θ from 15° to 90°, low angle first:
| d (Å) | I/Imax |
| --- | --- |
| 4.871 | 100 |
| 2.541 | 27 |
| 2.134 | 30 |
| 2.104 | 56 |
| 1.502 | 16 |
| 1.494 | 15 |

***

[4]
Structure and theoretical X-ray diffraction stick pattern of TiFeO4 (a crystal structure in the Materials Project, relaxed with GGA+U; Cu Kα).
Intensities are scaled so that the largest is 100.

Cell and atoms:
```
data_TiFeO4
_cell_length_a 3.7928
_cell_length_b 3.7928
_cell_length_c 9.7563
_cell_angle_alpha 90.00
_cell_angle_beta 90.00
_cell_angle_gamma 90.00
_space_group_name_H-M_alt 'P 1'
_space_group_IT_number 1
_space_group_name_Hall 'P 1'
loop_
_atom_site_label
_atom_site_type_symbol
_atom_site_fract_x
_atom_site_fract_y
_atom_site_fract_z
Ti1 Ti 0.0000 0.5000 0.2500
Ti2 Ti 0.5000 0.0000 0.7500
Fe1 Fe 0.0000 0.0000 0.0000
Fe2 Fe 0.5000 0.5000 0.5000
O1 O 0.0000 0.0000 0.2034
O2 O 0.0000 0.0000 0.7966
O3 O 0.0000 0.5000 0.0439
O4 O 0.0000 0.5000 0.4556
O5 O 0.5000 0.0000 0.5444
O6 O 0.5000 0.0000 0.9561
O7 O 0.5000 0.5000 0.2955
O8 O 0.5000 0.5000 0.7045
```

Principal peaks in the range 2θ from 15° to 90°, low angle first:
| d (Å) | I/Imax |
| --- | --- |
| 3.535 | 100 |
| 2.439 | 20 |
| 1.896 | 27 |
| 1.735 | 20 |
| 1.671 | 19 |
| 1.497 | 14 |